For Ba2UPt2S6, the PBE geometry in Alexandria gives the calculated PXRD pattern in this record (CuKα).
No peak broadening, texture or thermal motion is included.

Principal peaks in the range 2θ from 15° to 90°, sorted by position:
- 2θ 24.0, intensity 100, hkl 3 1 -1
- 2θ 26.2, intensity 42, hkl 0 2 0
- 2θ 27.7, intensity 54, hkl 1 1 -2
- 2θ 28.2, intensity 15, hkl 0 0 2
- 2θ 38.0, intensity 24, hkl 2 2 1
- 2θ 40.9, intensity 19, hkl 6 0 -2
- 2θ 43.7, intensity 16, hkl 5 1 0
- 2θ 44.9, intensity 21, hkl 3 3 -1
- 2θ 49.2, intensity 17, hkl 6 2 -2
- 2θ 53.9, intensity 17, hkl 0 4 0

Atomic structure:
```
data_Ba2UPt2S6
_cell_length_a 13.2338
_cell_length_b 6.8059
_cell_length_c 7.7082
_cell_angle_alpha 90.00
_cell_angle_beta 124.82
_cell_angle_gamma 90.00
_symmetry_space_group_name_H-M 'C 1 2/m 1'
_symmetry_Int_Tables_number 12
loop_
_symmetry_equiv_pos_as_xyz
'x,y,z'
'-x,-y,-z'
'-x,y,-z'
'x,-y,z'
'x+1/2,y+1/2,z'
'-x+1/2,-y+1/2,-z'
'-x+1/2,y+1/2,-z'
'x+1/2,-y+1/2,z'
loop_
_atom_site_label
_atom_site_fract_x
_atom_site_fract_y
_atom_site_fract_z
Ba1 0.2269 0.0000 0.2187
U1 0.0000 0.0000 0.5000
Pt1 0.0725 0.5000 0.2422
S1 0.0601 0.2575 0.7901
S2 0.2277 0.0000 0.6399
```